For Cd2BO4, a cell relaxed with GGA-PBE gives the theoretical powder diffraction line list in this record (a wavelength of 1.5418 Å).

Principal peaks in the range 2θ = 10–90°, sorted by position:
| 2θ/deg | I (rel.) |
| --- | --- |
| 17.74 | 39.3 |
| 27.49 | 49.8 |
| 30.97 | 52.4 |
| 32.90 | 96.1 |
| 35.91 | 100.0 |
| 45.81 | 25.1 |
| 49.50 | 24.7 |
| 52.99 | 31.7 |
| 55.09 | 45.2 |
| 56.33 | 25.7 |

Crystal structure
```
data_Cd2BO4
_symmetry_space_group_name_H-M 'P 1'
_symmetry_Int_Tables_number 1
_symmetry_space_group_name_Hall 'P 1'
_cell_length_a 10.0019
_cell_length_b 10.0019
_cell_length_c 10.0019
_cell_angle_alpha 60.00
_cell_angle_beta 60.00
_cell_angle_gamma 60.00
loop_
_atom_site_label
_atom_site_fract_x
_atom_site_fract_y
_atom_site_fract_z
Cd1 0.0000 0.0000 0.0000
Cd2 0.0000 0.0000 0.5000
Cd3 0.0000 0.5000 0.0000
Cd4 0.1704 0.1704 0.5796
Cd5 0.1704 0.5796 0.1704
Cd6 0.1704 0.5796 0.5796
Cd7 0.4204 0.4204 0.8296
Cd8 0.4204 0.8296 0.4204
Cd9 0.4204 0.8296 0.8296
Cd10 0.5000 0.0000 0.0000
Cd11 0.5796 0.1704 0.1704
Cd12 0.5796 0.1704 0.5796
Cd13 0.5796 0.5796 0.1704
Cd14 0.8296 0.4204 0.4204
Cd15 0.8296 0.4204 0.8296
Cd16 0.8296 0.8296 0.4204
B1 0.1823 0.7726 0.7726
B2 0.2274 0.2274 0.2274
B3 0.2274 0.2274 0.8177
B4 0.2274 0.8177 0.2274
B5 0.7726 0.1823 0.7726
B6 0.7726 0.7726 0.1823
B7 0.7726 0.7726 0.7726
B8 0.8177 0.2274 0.2274
O1 0.0925 0.2224 0.8152
O2 0.0925 0.3699 0.2224
O3 0.0925 0.8152 0.3699
O4 0.0930 0.4690 0.4690
O5 0.1848 0.6301 0.9075
O6 0.1848 0.7776 0.6301
O7 0.1848 0.9075 0.7776
O8 0.2224 0.0925 0.3699
O9 0.2224 0.3699 0.8152
O10 0.2224 0.8152 0.0925
O11 0.3699 0.0925 0.8152
O12 0.3699 0.2224 0.0925
O13 0.3699 0.8152 0.2224
O14 0.4690 0.0930 0.4690
O15 0.4690 0.4690 0.0930
O16 0.4690 0.4690 0.4690
O17 0.5310 0.5310 0.5310
O18 0.5310 0.5310 0.9070
O19 0.5310 0.9070 0.5310
O20 0.6301 0.1848 0.7776
O21 0.6301 0.7776 0.9075
O22 0.6301 0.9075 0.1848
O23 0.7776 0.1848 0.9075
O24 0.7776 0.6301 0.1848
O25 0.7776 0.9075 0.6301
O26 0.8152 0.0925 0.2224
O27 0.8152 0.2224 0.3699
O28 0.8152 0.3699 0.0925
O29 0.9070 0.5310 0.5310
O30 0.9075 0.1848 0.6301
O31 0.9075 0.6301 0.7776
O32 0.9075 0.7776 0.1848
```